No. 1
Structure and simulated X-ray powder pattern of ErMnFeO4 (a DFT-relaxed cell (GGA+U, Alexandria); Cu Kα (λ = 1.5418 Å)).

Atomic structure:
```
data_ErMnFeO4
_chemical_formula_sum 'Er3 Mn3 Fe3 O12'
_cell_length_a 3.5130
_cell_length_b 3.5130
_cell_length_c 25.9648
_cell_angle_alpha 90.00
_cell_angle_beta 90.00
_cell_angle_gamma 120.00
_symmetry_space_group_name_H-M 'R 3 m'
_symmetry_Int_Tables_number 160
_symmetry_space_group_name_Hall 'R 3 -2"'
loop_
_atom_site_label
_atom_site_fract_x
_atom_site_fract_y
_atom_site_fract_z
Er1 0.0000 0.0000 0.0000
Mn1 0.0000 0.0000 0.2128
Fe1 0.0000 0.0000 0.7815
O1 0.0000 0.0000 0.1151
O2 0.0000 0.0000 0.2931
O3 0.0000 0.0000 0.7061
O4 0.0000 0.0000 0.8585
```

Top 10 peaks for 2θ = 15–90°, low angle first:
- 20.52 deg, d 4.327, rel. 37.7, hkl 0 0 6
- 29.56 deg, d 3.022, rel. 100.0, hkl 1 0 1
- 31.00 deg, d 2.885, rel. 49.9, hkl 0 0 9
- 32.50 deg, d 2.755, rel. 93.7, hkl 1 0 4
- 34.16 deg, d 2.625, rel. 74.9, hkl 0 1 5
- 40.65 deg, d 2.220, rel. 24.4, hkl 0 1 8
- 45.95 deg, d 1.975, rel. 44.5, hkl 1 0 10
- 52.07 deg, d 1.756, rel. 54.8, hkl 1 1 0
- 58.26 deg, d 1.584, rel. 30.9, hkl 0 1 14
- 61.84 deg, d 1.500, rel. 40.0, hkl 1 1 9

***

No. 2
Structure and simulated X-ray powder pattern of ErMnFeO5 (a DFT-relaxed cell (GGA+U, Alexandria); Cu Kα (λ = 1.5418 Å)).

Atomic structure:
```
data_ErMnFeO5
_chemical_formula_sum 'Er4 Mn4 Fe4 O20'
_cell_length_a 7.1382
_cell_length_b 8.4731
_cell_length_c 5.7539
_cell_angle_alpha 90.00
_cell_angle_beta 90.00
_cell_angle_gamma 90.00
_symmetry_space_group_name_H-M 'P b a m'
_symmetry_Int_Tables_number 55
loop_
_symmetry_equiv_pos_as_xyz
'x,y,z'
'-x,-y,-z'
'-x,-y,z'
'x,y,-z'
'x+1/2,-y+1/2,-z'
'-x+1/2,y+1/2,z'
'-x+1/2,y+1/2,-z'
'x+1/2,-y+1/2,z'
loop_
_atom_site_label
_atom_site_fract_x
_atom_site_fract_y
_atom_site_fract_z
Er1 0.1295 0.1707 0.0000
Mn1 0.0000 0.5000 0.2528
Fe1 0.0893 0.8482 0.5000
O1 0.0000 0.0000 0.2736
O2 0.1148 0.7059 0.2404
O3 0.1495 0.4169 0.5000
O4 0.1655 0.4416 0.0000
```

Top 10 peaks for 2θ = 15–90°, low angle first:
- 15.40 deg, d 5.754, rel. 42.2, hkl 0 0 1
- 29.01 deg, d 3.078, rel. 64.5, hkl 1 2 1
- 31.33 deg, d 2.856, rel. 100.0, hkl 2 1 1
- 34.14 deg, d 2.626, rel. 40.8, hkl 1 3 0
- 35.26 deg, d 2.545, rel. 28.0, hkl 1 1 2
- 41.71 deg, d 2.165, rel. 28.3, hkl 2 1 2
- 46.53 deg, d 1.952, rel. 21.8, hkl 3 2 1
- 47.47 deg, d 1.915, rel. 19.3, hkl 1 4 1
- 55.44 deg, d 1.657, rel. 26.6, hkl 2 1 3
- 60.16 deg, d 1.538, rel. 19.4, hkl 3 3 2

***

> Which formula does entry 1 have?

ErMnFeO4

***

> What is the formula in the first record?

ErMnFeO4